[1]
Starting from DFT lattice parameters and positions (PBE), the X-ray diffraction stick pattern of ZnCo2S5 was simulated for Cu Kα (λ = 1.5418 Å).
No peak broadening, texture or thermal motion is included.

Cell and atoms:
```
ZnCo2S5
1.0
3.5113 0.0000 0.0000
0.0000 13.2963 0.0000
0.0000 0.0000 6.2791
Zn Co S
2 4 10
Direct
0.2500 0.2500 0.1363 Zn
0.7500 0.7500 0.8637 Zn
0.2500 0.6024 0.4458 Co
0.2500 0.8976 0.4458 Co
0.7500 0.1024 0.5542 Co
0.7500 0.3976 0.5542 Co
0.2500 0.0566 0.3613 S
0.2500 0.4434 0.3613 S
0.2500 0.6700 0.1345 S
0.2500 0.7500 0.6079 S
0.2500 0.8300 0.1345 S
0.7500 0.1700 0.8655 S
0.7500 0.2500 0.3921 S
0.7500 0.3300 0.8655 S
0.7500 0.5566 0.6387 S
0.7500 0.9434 0.6387 S
```

Top 10 peaks for 2θ from 10° to 90°, low angle first:
Position (°2θ)  I/Imax
13.32  29
14.10  82
19.45  100
29.14  91
29.92  43
36.70  43
40.88  97
52.09  34
55.13  29
57.04  50

=====

[2]
Starting from DFT lattice parameters and positions (PBE), the X-ray diffraction stick pattern of Zn3CoS4 was simulated for Cu Kα (λ = 1.5418 Å).
No peak broadening, texture or thermal motion is included.

Cell and atoms:
```
Zn3CoS4
1.0
3.8228 0.0000 0.0000
0.0000 3.8228 0.0000
0.0000 0.0000 10.7915
Zn Co S
3 1 4
Direct
0.0000 0.0000 0.0000 Zn
0.5000 0.5000 0.2529 Zn
0.5000 0.5000 0.7471 Zn
0.0000 0.0000 0.5000 Co
0.0000 0.5000 0.1259 S
0.0000 0.5000 0.6188 S
0.5000 0.0000 0.3812 S
0.5000 0.0000 0.8741 S
```

Top 10 peaks for 2θ from 10° to 90°, low angle first:
Position (°2θ)  I/Imax
28.62  100
33.16  11
47.61  61
56.49  40
59.25  3
69.56  6
69.71  3
76.92  15
88.66  13
88.77  6

=====

[3]
Starting from DFT lattice parameters and positions (PBE), the X-ray diffraction stick pattern of CoSb2 was simulated for Cu Kα (λ = 1.5418 Å).
No peak broadening, texture or thermal motion is included.

Cell and atoms:
```
CoSb2
1.0
5.6258 0.0000 0.0000
0.0000 6.4220 0.0000
0.0000 0.0000 3.3986
Co Sb
2 4
Direct
0.0000 0.0000 0.0000 Co
0.5000 0.5000 0.5000 Co
0.2011 0.3568 0.0000 Sb
0.2989 0.8568 0.5000 Sb
0.7011 0.1432 0.5000 Sb
0.7989 0.6432 0.0000 Sb
```

Top 10 peaks for 2θ from 10° to 90°, low angle first:
Position (°2θ)  I/Imax
29.74  17
30.74  37
32.10  89
33.83  100
34.82  17
44.11  49
50.38  38
50.83  18
53.96  18
64.18  23

=====

[4]
Starting from DFT lattice parameters and positions (PBE), the X-ray diffraction stick pattern of CoSb2 was simulated for Cu Kα (λ = 1.5418 Å).
No peak broadening, texture or thermal motion is included.

Cell and atoms:
```
CoSb2
1.0
6.5364 0.0000 0.0000
0.0000 6.4127 0.0000
-3.0070 0.0000 5.8515
Co Sb
4 8
Direct
0.2295 0.0007 0.2173 Co
0.2295 0.4993 0.7173 Co
0.7705 0.5007 0.2827 Co
0.7705 0.9993 0.7827 Co
0.1514 0.6444 0.3336 Sb
0.1514 0.8556 0.8336 Sb
0.3530 0.1403 0.6298 Sb
0.3530 0.3597 0.1298 Sb
0.6470 0.6403 0.8702 Sb
0.6470 0.8597 0.3702 Sb
0.8486 0.1444 0.1664 Sb
0.8486 0.3556 0.6664 Sb
```

Top 10 peaks for 2θ from 10° to 90°, low angle first:
Position (°2θ)  I/Imax
29.63  21
30.56  22
30.76  20
32.17  100
33.67  55
33.86  56
44.00  25
44.30  28
50.35  41
51.00  25

=====

[5]
Starting from DFT lattice parameters and positions (PBE), the X-ray diffraction stick pattern of Sc4Co3Sb4 was simulated for Cu Kα (λ = 1.5418 Å).
No peak broadening, texture or thermal motion is included.

Cell and atoms:
```
Sc4Co3Sb4
1.0
6.8738 0.0000 0.0000
0.0000 4.2940 0.0000
-0.0522 0.0000 7.3215
Sc Co Sb
4 3 4
Direct
0.0000 0.0000 0.0000 Sc
0.0011 0.5000 0.4443 Sc
0.4970 0.0000 0.9409 Sc
0.5114 0.5000 0.5075 Sc
0.3548 0.5000 0.1549 Co
0.6483 0.0000 0.2926 Co
0.8493 0.5000 0.7934 Co
0.2246 0.5000 0.8122 Sb
0.2681 0.0000 0.3245 Sb
0.7315 0.5000 0.1242 Sb
0.7721 0.0000 0.6296 Sb
```

Top 10 peaks for 2θ from 10° to 90°, low angle first:
Position (°2θ)  I/Imax
24.03  24
25.92  35
27.35  72
27.52  26
27.69  32
35.57  76
35.70  52
42.09  59
42.61  100
46.56  36

=====

[6]
Starting from DFT lattice parameters and positions (PBE), the X-ray diffraction stick pattern of SmCoSb3 was simulated for Cu Kα (λ = 1.5418 Å).
No peak broadening, texture or thermal motion is included.

Cell and atoms:
```
SmCoSb3
1.0
12.5972 0.0000 0.0000
0.0000 6.1834 0.0000
0.0000 0.0000 12.1074
Sm Co Sb
8 8 24
Direct
0.1965 0.2224 0.2500 Sm
0.1965 0.2776 0.7500 Sm
0.2000 0.7500 0.0000 Sm
0.2000 0.7500 0.5000 Sm
0.8000 0.2500 0.0000 Sm
0.8000 0.2500 0.5000 Sm
0.8035 0.7224 0.2500 Sm
0.8035 0.7776 0.7500 Sm
0.4000 0.0375 0.6360 Co
0.4000 0.0375 0.8640 Co
0.4000 0.4625 0.1360 Co
0.4000 0.4625 0.3640 Co
0.6000 0.5375 0.6360 Co
0.6000 0.5375 0.8640 Co
0.6000 0.9625 0.1360 Co
0.6000 0.9625 0.3640 Co
0.0028 0.0137 0.6243 Sb
0.0028 0.0137 0.8757 Sb
0.0028 0.4863 0.1243 Sb
0.0028 0.4863 0.3757 Sb
0.2772 0.2500 0.0000 Sb
0.2772 0.2500 0.5000 Sb
0.2827 0.7326 0.2500 Sb
0.2827 0.7674 0.7500 Sb
0.4442 0.1148 0.2500 Sb
0.4442 0.3852 0.7500 Sb
0.4722 0.7500 0.0000 Sb
0.4722 0.7500 0.5000 Sb
0.5278 0.2500 0.0000 Sb
0.5278 0.2500 0.5000 Sb
0.5558 0.6148 0.2500 Sb
0.5558 0.8852 0.7500 Sb
0.7173 0.2326 0.2500 Sb
0.7173 0.2674 0.7500 Sb
0.7228 0.7500 0.0000 Sb
0.7228 0.7500 0.5000 Sb
0.9972 0.5137 0.6243 Sb
0.9972 0.5137 0.8757 Sb
0.9972 0.9863 0.1243 Sb
0.9972 0.9863 0.3757 Sb
```

Top 10 peaks for 2θ from 10° to 90°, low angle first:
Position (°2θ)  I/Imax
28.34  31
30.37  21
32.25  67
32.82  49
35.25  100
36.08  30
36.60  46
41.76  80
51.24  22
56.14  25

=====

[7]
Starting from DFT lattice parameters and positions (PBE), the X-ray diffraction stick pattern of SmCoSb2 was simulated for Cu Kα (λ = 1.5418 Å).
No peak broadening, texture or thermal motion is included.

Cell and atoms:
```
SmCoSb2
1.0
4.3649 0.0000 0.0000
0.0000 4.3649 0.0000
0.0000 0.0000 9.6725
Sm Co Sb
2 2 4
Direct
0.2500 0.2500 0.2431 Sm
0.7500 0.7500 0.7569 Sm
0.2500 0.7500 0.0000 Co
0.7500 0.2500 0.0000 Co
0.2500 0.2500 0.8650 Sb
0.2500 0.7500 0.5000 Sb
0.7500 0.2500 0.5000 Sb
0.7500 0.7500 0.1350 Sb
```

Top 10 peaks for 2θ from 10° to 90°, low angle first:
Position (°2θ)  I/Imax
27.53  17
30.40  24
34.47  100
34.59  38
41.37  51
50.46  15
51.68  17
54.99  20
59.94  17
71.03  28

=====

[8]
Starting from DFT lattice parameters and positions (PBE), the X-ray diffraction stick pattern of Co4SnSb12 was simulated for Cu Kα (λ = 1.5418 Å).
No peak broadening, texture or thermal motion is included.

Cell and atoms:
```
Co4SnSb12
1.0
-4.5988 4.5988 4.5988
4.5988 -4.5988 4.5988
4.5988 4.5988 -4.5988
Co Sn Sb
4 1 12
Direct
0.0000 0.0000 0.5000 Co
0.0000 0.5000 0.0000 Co
0.5000 0.0000 0.0000 Co
0.5000 0.5000 0.5000 Co
0.0000 0.0000 0.0000 Sn
0.1597 0.4912 0.3315 Sb
0.1597 0.8282 0.6685 Sb
0.1718 0.3315 0.8403 Sb
0.3315 0.1597 0.4912 Sb
0.3315 0.8403 0.1718 Sb
0.4912 0.3315 0.1597 Sb
0.5088 0.6685 0.8403 Sb
0.6685 0.1597 0.8282 Sb
0.6685 0.8403 0.5088 Sb
0.8282 0.6685 0.1597 Sb
0.8403 0.1718 0.3315 Sb
0.8403 0.5088 0.6685 Sb
```

Top 10 peaks for 2θ from 10° to 90°, low angle first:
Position (°2θ)  I/Imax
30.74  100
36.55  51
44.03  14
48.49  22
50.60  22
58.51  19
60.38  11
62.22  8
69.29  18
89.06  9